For TlAg2Hg, a DFT-relaxed cell (GGA-PBE, Alexandria) gives the computed X-ray diffraction stick pattern in this record (Cu Ka).
Peak positions follow from Bragg's law for the DFT cell and can differ from measured ones.

Peak list (10 most intense, 2θ from 5° to 70°, by angle)
2θ 22.2, rel. 178
2θ 31.6, rel. 1000
2θ 33.9, rel. 894
2θ 45.2, rel. 369
2θ 47.0, rel. 719
2θ 50.9, rel. 47
2θ 57.7, rel. 194
2θ 65.9, rel. 118
2θ 66.8, rel. 230
2θ 67.3, rel. 245

Unit cell a=6.411 b=6.411 c=6.411 alpha=102.56 beta=102.56 gamma=124.42
Element x y z (fractional)
Tl 0.000 0.000 0.000
Tl 0.750 0.250 0.500
Ag 0.134 0.625 0.009
Ag 0.375 0.384 0.509
Ag 0.616 0.125 0.991
Ag 0.875 0.866 0.491
Hg 0.250 0.750 0.500
Hg 0.500 0.500 0.000